# LaGa6
Theoretical powder diffractogram, Cu Kα (λ = 1.5418 Å). Input: a cell relaxed with GGA-PBE.

Most intense lines, 10° ≤ 2θ ≤ 80°, sorted by position:
2theta  I_rel  hkl
30.97  31.2  1 1 2
31.47  100.0  2 0 1
34.81  21.7  2 1 1
40.37  19.0  2 1 2
40.64  38.2  1 1 3
41.82  42.2  2 2 0
45.96  16.1  2 0 3
52.94  18.7  3 1 2
67.68  14.1  4 1 2
75.56  13.2  3 3 3

Cell and atoms:
```
LaGa6
1.0
6.110 0.000 0.000
0.000 6.110 0.000
0.000 0.000 7.764
La Ga
2 12
Cartesian
1.527 4.582 0.000 La
4.582 1.527 0.000 La
0.300 3.355 2.698 Ga
0.300 5.809 5.066 Ga
1.527 1.527 1.254 Ga
1.527 1.527 6.510 Ga
2.755 3.355 5.066 Ga
2.755 5.809 2.698 Ga
3.355 0.300 5.066 Ga
3.355 2.755 2.698 Ga
4.582 4.582 1.254 Ga
4.582 4.582 6.510 Ga
5.809 0.300 2.698 Ga
5.809 2.755 5.066 Ga
```